# 1
Diffraction record for Al2Cu. The X-ray powder pattern is theoretical, not measured: it uses the PBE geometry in the Materials Project and a wavelength of 1.5418 Å.
Neutral-atom scattering factors, no anomalous dispersion.

Main lines, by angle (5 to 70 degrees two-theta):
- 2θ = 21.65°, intensity 71.1
- 2θ = 30.80°, intensity 1.4
- 2θ = 38.07°, intensity 32.8
- 2θ = 44.18°, intensity 100.0
- 2θ = 49.66°, intensity 14.7
- 2θ = 59.66°, intensity 16.1
- 2θ = 64.17°, intensity 10.4
- 2θ = 64.45°, intensity 5.1
- 2θ = 68.58°, intensity 2.6
- 2θ = 68.86°, intensity 5.0

Atomic structure:
```
data_Al2Cu
_chemical_formula_sum 'Al2 Cu1'
_cell_length_a 4.105
_cell_length_b 4.105
_cell_length_c 2.891
_cell_angle_alpha 90.00
_cell_angle_beta 90.00
_cell_angle_gamma 90.00
_symmetry_space_group_name_H-M 'P 1'
_symmetry_Int_Tables_number 1
_symmetry_space_group_name_Hall 'P 1'
loop_
_atom_site_label
_atom_site_fract_x
_atom_site_fract_y
_atom_site_fract_z
Al1 0.000 0.500 0.000
Al2 0.500 0.000 0.000
Cu1 0.000 0.000 0.500
```

=====

# 2
Diffraction record for Li7PS6. The X-ray powder pattern is theoretical, not measured: it uses the PBE geometry in the Materials Project and a wavelength of 1.5418 Å.
Neutral-atom scattering factors, no anomalous dispersion.

Main lines, by angle (5 to 70 degrees two-theta):
- 2θ = 15.28°, intensity 52.1
- 2θ = 15.40°, intensity 50.8
- 2θ = 17.60°, intensity 28.7
- 2θ = 25.27°, intensity 100.0
- 2θ = 29.35°, intensity 63.9
- 2θ = 29.55°, intensity 59.2
- 2θ = 29.94°, intensity 60.2
- 2θ = 30.83°, intensity 74.9
- 2θ = 31.09°, intensity 78.3
- 2θ = 51.89°, intensity 68.2

Atomic structure:
```
data_Li7PS6
_chemical_formula_sum 'Li28 P4 S24'
_cell_length_a 14.169
_cell_length_b 7.173
_cell_length_c 9.857
_cell_angle_alpha 90.00
_cell_angle_beta 90.00
_cell_angle_gamma 90.00
_symmetry_space_group_name_H-M 'P 1'
_symmetry_Int_Tables_number 1
_symmetry_space_group_name_Hall 'P 1'
loop_
_atom_site_label
_atom_site_fract_x
_atom_site_fract_y
_atom_site_fract_z
Li1 0.026 0.172 0.000
Li2 0.043 0.445 0.652
Li3 0.109 0.049 0.689
Li4 0.128 0.646 0.840
Li5 0.179 0.743 0.361
Li6 0.217 0.394 0.051
Li7 0.235 0.476 0.634
Li8 0.265 0.976 0.134
Li9 0.283 0.894 0.551
Li10 0.321 0.243 0.861
Li11 0.372 0.146 0.340
Li12 0.391 0.549 0.189
Li13 0.457 0.945 0.152
Li14 0.474 0.672 0.500
Li15 0.526 0.328 0.000
Li16 0.543 0.055 0.652
Li17 0.609 0.451 0.689
Li18 0.628 0.854 0.840
Li19 0.679 0.757 0.361
Li20 0.717 0.106 0.051
Li21 0.735 0.024 0.634
Li22 0.765 0.524 0.134
Li23 0.783 0.606 0.551
Li24 0.821 0.257 0.861
Li25 0.872 0.354 0.340
Li26 0.891 0.951 0.189
Li27 0.957 0.555 0.152
Li28 0.974 0.828 0.500
P1 0.115 0.232 0.353
P2 0.385 0.732 0.853
P3 0.615 0.268 0.353
P4 0.885 0.768 0.853
S1 0.001 0.788 0.980
S2 0.105 0.011 0.221
S3 0.114 0.474 0.240
S4 0.131 0.737 0.599
S5 0.144 0.304 0.837
S6 0.232 0.220 0.473
S7 0.268 0.720 0.973
S8 0.356 0.804 0.337
S9 0.369 0.237 0.099
S10 0.386 0.974 0.740
S11 0.395 0.511 0.721
S12 0.499 0.288 0.480
S13 0.501 0.712 0.980
S14 0.605 0.489 0.221
S15 0.614 0.026 0.240
S16 0.631 0.763 0.599
S17 0.644 0.196 0.837
S18 0.732 0.280 0.473
S19 0.768 0.780 0.973
S20 0.856 0.696 0.337
S21 0.869 0.263 0.099
S22 0.886 0.526 0.740
S23 0.895 0.989 0.721
S24 0.999 0.212 0.480
```

=====

# 3
Diffraction record for ZnSn2O4. The X-ray powder pattern is theoretical, not measured: it uses the PBE geometry in the Materials Project and a wavelength of 1.5418 Å.
Neutral-atom scattering factors, no anomalous dispersion.

Main lines, by angle (5 to 70 degrees two-theta):
- 2θ = 16.55°, intensity 26.7
- 2θ = 31.80°, intensity 100.0
- 2θ = 32.02°, intensity 49.1
- 2θ = 33.19°, intensity 24.8
- 2θ = 33.47°, intensity 19.5
- 2θ = 38.74°, intensity 23.4
- 2θ = 50.77°, intensity 20.8
- 2θ = 50.92°, intensity 14.2
- 2θ = 51.16°, intensity 22.3
- 2θ = 55.79°, intensity 44.4

Atomic structure:
```
data_ZnSn2O4
_chemical_formula_sum 'Zn6 Sn12 O24'
_cell_length_a 6.589
_cell_length_b 6.589
_cell_length_c 16.077
_cell_angle_alpha 90.54
_cell_angle_beta 90.54
_cell_angle_gamma 60.24
_symmetry_space_group_name_H-M 'P 1'
_symmetry_Int_Tables_number 1
_symmetry_space_group_name_Hall 'P 1'
loop_
_atom_site_label
_atom_site_fract_x
_atom_site_fract_y
_atom_site_fract_z
Zn1 0.000 0.000 0.000
Zn2 0.004 0.004 0.233
Zn3 0.327 0.327 0.336
Zn4 0.333 0.333 0.950
Zn5 0.338 0.338 0.568
Zn6 0.663 0.663 0.664
Sn1 0.008 0.497 0.116
Sn2 0.167 0.664 0.784
Sn3 0.168 0.168 0.784
Sn4 0.331 0.832 0.450
Sn5 0.496 0.496 0.116
Sn6 0.497 0.008 0.116
Sn7 0.664 0.167 0.784
Sn8 0.668 0.668 0.902
Sn9 0.670 0.670 0.282
Sn10 0.832 0.331 0.450
Sn11 0.833 0.833 0.450
Sn12 0.996 0.996 0.616
O1 0.001 0.001 0.857
O2 0.016 0.016 0.369
O3 0.057 0.470 0.859
O4 0.159 0.159 0.523
O5 0.180 0.180 0.035
O6 0.181 0.638 0.035
O7 0.196 0.670 0.528
O8 0.331 0.331 0.707
O9 0.333 0.833 0.181
O10 0.335 0.335 0.197
O11 0.342 0.830 0.722
O12 0.470 0.057 0.859
O13 0.473 0.473 0.860
O14 0.477 0.995 0.377
O15 0.505 0.505 0.379
O16 0.638 0.181 0.035
O17 0.656 0.656 0.527
O18 0.666 0.666 0.057
O19 0.670 0.196 0.528
O20 0.826 0.826 0.721
O21 0.830 0.342 0.722
O22 0.833 0.333 0.181
O23 0.837 0.837 0.182
O24 0.995 0.477 0.377
```

=====

# 4
Diffraction record for KSrCeSbO6. The X-ray powder pattern is theoretical, not measured: it uses the PBE geometry in the Materials Project and a wavelength of 1.5418 Å.
Neutral-atom scattering factors, no anomalous dispersion.

Main lines, by angle (5 to 70 degrees two-theta):
- 2θ = 18.15°, intensity 3.8
- 2θ = 20.99°, intensity 26.3
- 2θ = 29.86°, intensity 100.0
- 2θ = 35.16°, intensity 2.8
- 2θ = 42.73°, intensity 33.9
- 2θ = 46.78°, intensity 1.5
- 2θ = 48.07°, intensity 11.0
- 2θ = 53.00°, intensity 39.7
- 2θ = 62.02°, intensity 20.5
- 2θ = 66.25°, intensity 5.0

Atomic structure:
```
data_KSrCeSbO6
_chemical_formula_sum 'K1 Sr1 Ce1 Sb1 O6'
_cell_length_a 5.985
_cell_length_b 5.985
_cell_length_c 5.985
_cell_angle_alpha 60.00
_cell_angle_beta 60.00
_cell_angle_gamma 60.00
_symmetry_space_group_name_H-M 'P 1'
_symmetry_Int_Tables_number 1
_symmetry_space_group_name_Hall 'P 1'
loop_
_atom_site_label
_atom_site_fract_x
_atom_site_fract_y
_atom_site_fract_z
K1 0.000 0.000 0.000
Sr1 0.500 0.500 0.500
Ce1 0.250 0.250 0.250
Sb1 0.750 0.750 0.750
O1 0.513 0.513 0.987
O2 0.513 0.987 0.513
O3 0.513 0.987 0.987
O4 0.987 0.513 0.513
O5 0.987 0.513 0.987
O6 0.987 0.987 0.513
```

=====

# 5
Diffraction record for Pr4NiI5. The X-ray powder pattern is theoretical, not measured: it uses the PBE geometry in the Materials Project and a wavelength of 1.5418 Å.
Neutral-atom scattering factors, no anomalous dispersion.

Main lines, by angle (5 to 70 degrees two-theta):
- 2θ = 9.68°, intensity 11.1
- 2θ = 27.13°, intensity 15.0
- 2θ = 27.98°, intensity 50.4
- 2θ = 28.78°, intensity 100.0
- 2θ = 39.45°, intensity 16.8
- 2θ = 40.57°, intensity 68.7
- 2θ = 42.80°, intensity 18.2
- 2θ = 49.05°, intensity 16.6
- 2θ = 51.91°, intensity 17.8
- 2θ = 67.10°, intensity 11.6

Atomic structure:
```
data_Pr4NiI5
_chemical_formula_sum 'Pr8 Ni2 I10'
_cell_length_a 4.225
_cell_length_b 19.135
_cell_length_c 9.138
_cell_angle_alpha 90.00
_cell_angle_beta 90.00
_cell_angle_gamma 90.00
_symmetry_space_group_name_H-M 'P 1'
_symmetry_Int_Tables_number 1
_symmetry_space_group_name_Hall 'P 1'
loop_
_atom_site_label
_atom_site_fract_x
_atom_site_fract_y
_atom_site_fract_z
Pr1 0.250 0.103 0.131
Pr2 0.250 0.397 0.131
Pr3 0.250 0.750 0.082
Pr4 0.250 0.750 0.662
Pr5 0.750 0.250 0.338
Pr6 0.750 0.250 0.918
Pr7 0.750 0.603 0.869
Pr8 0.750 0.897 0.869
Ni1 0.250 0.250 0.126
Ni2 0.750 0.750 0.874
I1 0.250 0.250 0.629
I2 0.250 0.576 0.140
I3 0.250 0.580 0.606
I4 0.250 0.920 0.606
I5 0.250 0.924 0.140
I6 0.750 0.076 0.860
I7 0.750 0.080 0.394
I8 0.750 0.420 0.394
I9 0.750 0.424 0.860
I10 0.750 0.750 0.371
```

=====

# 6
Diffraction record for Cs2AgI3. The X-ray powder pattern is theoretical, not measured: it uses the PBE geometry in the Materials Project and a wavelength of 1.5418 Å.
Neutral-atom scattering factors, no anomalous dispersion.

Main lines, by angle (5 to 70 degrees two-theta):
- 2θ = 21.74°, intensity 51.9
- 2θ = 24.08°, intensity 82.4
- 2θ = 24.50°, intensity 78.7
- 2θ = 25.26°, intensity 100.0
- 2θ = 25.79°, intensity 45.9
- 2θ = 26.42°, intensity 81.0
- 2θ = 27.57°, intensity 40.4
- 2θ = 29.53°, intensity 33.8
- 2θ = 35.39°, intensity 69.8
- 2θ = 44.70°, intensity 38.1

Atomic structure:
```
data_Cs2AgI3
_chemical_formula_sum 'Cs8 Ag4 I12'
_cell_length_a 14.972
_cell_length_b 5.073
_cell_length_c 15.572
_cell_angle_alpha 90.00
_cell_angle_beta 90.00
_cell_angle_gamma 90.00
_symmetry_space_group_name_H-M 'P 1'
_symmetry_Int_Tables_number 1
_symmetry_space_group_name_Hall 'P 1'
loop_
_atom_site_label
_atom_site_fract_x
_atom_site_fract_y
_atom_site_fract_z
Cs1 0.013 0.250 0.176
Cs2 0.174 0.250 0.518
Cs3 0.326 0.750 0.018
Cs4 0.487 0.750 0.676
Cs5 0.513 0.250 0.324
Cs6 0.674 0.250 0.982
Cs7 0.826 0.750 0.482
Cs8 0.987 0.750 0.824
Ag1 0.247 0.750 0.303
Ag2 0.253 0.250 0.803
Ag3 0.747 0.750 0.197
Ag4 0.753 0.250 0.697
I1 0.064 0.750 0.360
I2 0.135 0.250 0.948
I3 0.224 0.750 0.711
I4 0.276 0.250 0.211
I5 0.365 0.750 0.448
I6 0.436 0.250 0.860
I7 0.564 0.750 0.140
I8 0.635 0.250 0.552
I9 0.724 0.750 0.789
I10 0.776 0.250 0.289
I11 0.865 0.750 0.052
I12 0.936 0.250 0.640
```